Theoretical powder diffractogram of NaFe7P6O24 for Cu Ka, from a PBE+U-relaxed structure.

```
NaFe7P6O24
1.0
7.3063 0.0000 0.0000
2.2717 8.7896 0.0000
3.6458 3.6147 8.5411
Na Fe P O
1 7 6 24
Direct
0.0000 0.0000 0.0000 Na
0.1357 0.6978 0.4256 Fe
0.1832 0.4158 0.9015 Fe
0.3172 0.2896 0.3566 Fe
0.5000 0.0000 0.0000 Fe
0.6828 0.7104 0.6434 Fe
0.8168 0.5842 0.0985 Fe
0.8643 0.3022 0.5744 Fe
0.1108 0.1040 0.2399 P
0.2300 0.7375 0.8890 P
0.4238 0.2304 0.6623 P
0.5762 0.7696 0.3377 P
0.7700 0.2625 0.1110 P
0.8892 0.8960 0.7601 P
0.0548 0.4194 0.3697 O
0.0880 0.9247 0.2744 O
0.1021 0.7924 0.7517 O
0.1316 0.5712 0.0125 O
0.1885 0.1219 0.3546 O
0.2004 0.5352 0.3344 O
0.2468 0.1749 0.0671 O
0.3033 0.3697 0.7153 O
0.3190 0.1988 0.5672 O
0.3701 0.7193 0.4500 O
0.4348 0.6669 0.7997 O
0.4359 0.0678 0.8064 O
0.5641 0.9322 0.1936 O
0.5652 0.3331 0.2003 O
0.6299 0.2807 0.5500 O
0.6810 0.8012 0.4328 O
0.6967 0.6303 0.2847 O
0.7532 0.8251 0.9329 O
0.7996 0.4648 0.6656 O
0.8115 0.8781 0.6454 O
0.8684 0.4288 0.9875 O
0.8979 0.2076 0.2483 O
0.9120 0.0753 0.7256 O
0.9452 0.5806 0.6303 O
```

Most intense lines, 2θ from 10° to 80°, in order of falling intensity:
Position (°2θ)	Rel. int.
27.8	100
21.1	98
27.5	68
27.9	62
32.7	58
16.2	48
14.1	47
18.9	46
31.4	42
27.1	40
31.6	37
20.3	35



Theoretical powder diffractogram of SrCaMn2O6 for Cu Ka, from a PBE+U-relaxed structure.

```
SrCaMn2O6
1.0
3.8295 0.0000 0.0000
0.0000 5.4071 0.0000
0.0000 0.0000 5.4407
Sr Ca Mn O
1 1 2 6
Direct
0.0000 0.0000 0.0000 Sr
0.0000 0.5000 0.5207 Ca
0.5000 0.0000 0.5030 Mn
0.5000 0.5000 0.0092 Mn
0.0000 0.0000 0.4946 O
0.0000 0.5000 0.9787 O
0.5000 0.2517 0.2452 O
0.5000 0.2554 0.7379 O
0.5000 0.7446 0.7379 O
0.5000 0.7483 0.2452 O
```

Most intense lines, 2θ from 10° to 80°, in order of falling intensity:
Position (°2θ)	Rel. int.
33.1	100
47.4	52
59.1	22
32.9	20
69.4	19
58.9	15
79.1	9
59.0	7
40.9	7
40.7	6
28.5	6
79.0	6



Theoretical powder diffractogram of Li2CrC2O6 for Cu Ka, from a PBE+U-relaxed structure.

```
Li2CrC2O6
1.0
5.2531 0.0000 0.0000
0.0000 7.8475 0.0000
-3.0363 0.0000 6.4846
Li Cr C O
4 2 4 12
Direct
0.0972 0.0719 0.2300 Li
0.0972 0.4281 0.7300 Li
0.9028 0.5719 0.2700 Li
0.9028 0.9281 0.7700 Li
0.5000 0.0000 0.0000 Cr
0.5000 0.5000 0.5000 Cr
0.3446 0.7288 0.1509 C
0.3446 0.7712 0.6509 C
0.6554 0.2288 0.3491 C
0.6554 0.2712 0.8491 C
0.2064 0.6263 0.5915 O
0.2064 0.8737 0.0915 O
0.2386 0.6052 0.2153 O
0.2386 0.8948 0.7153 O
0.4177 0.2157 0.3590 O
0.4177 0.2843 0.8590 O
0.5823 0.7157 0.1410 O
0.5823 0.7843 0.6410 O
0.7614 0.1052 0.2847 O
0.7614 0.3948 0.7847 O
0.7936 0.1263 0.9085 O
0.7936 0.3737 0.4085 O
```

Most intense lines, 2θ from 10° to 80°, in order of falling intensity:
Position (°2θ)	Rel. int.
17.7	100
18.7	67
29.8	56
21.2	42
21.8	32
36.1	28
34.7	19
38.9	17
43.4	16
35.9	14
44.5	14
56.8	14



Theoretical powder diffractogram of Li9Mn2Co5O16 for Cu Ka, from a PBE+U-relaxed structure.

```
Li9Mn2Co5O16
1.0
7.6974 -1.4483 0.0000
7.6974 1.4483 0.0000
-0.4545 0.0000 12.9439
Li Mn Co O
9 2 5 16
Direct
0.0000 0.0000 0.0000 Li
0.0624 0.0624 0.6880 Li
0.1310 0.1310 0.3853 Li
0.2475 0.2475 0.7470 Li
0.3765 0.3765 0.1253 Li
0.5011 0.5011 0.5157 Li
0.6293 0.6293 0.8642 Li
0.7434 0.7434 0.2572 Li
0.8799 0.8799 0.6333 Li
0.4430 0.4430 0.8110 Mn
0.9347 0.9347 0.3185 Mn
0.1870 0.1870 0.0651 Co
0.3074 0.3074 0.4538 Co
0.5643 0.5643 0.1930 Co
0.6790 0.6790 0.5754 Co
0.8113 0.8113 0.9380 Co
0.0228 0.0228 0.8452 O
0.0990 0.0990 0.5344 O
0.1512 0.1512 0.2238 O
0.2245 0.2245 0.9082 O
0.2825 0.2825 0.5912 O
0.3522 0.3522 0.2918 O
0.4032 0.4032 0.9643 O
0.4670 0.4670 0.6734 O
0.5177 0.5177 0.3431 O
0.6032 0.6032 0.0431 O
0.6623 0.6623 0.7120 O
0.7238 0.7238 0.4160 O
0.7709 0.7709 0.0889 O
0.8573 0.8573 0.7915 O
0.9036 0.9036 0.4605 O
0.9693 0.9693 0.1719 O
```

Most intense lines, 2θ from 10° to 80°, in order of falling intensity:
Position (°2θ)	Rel. int.
18.2	100
43.6	54
36.2	27
43.2	27
62.8	14
35.6	14
63.3	14
57.3	9
47.6	9
64.3	7
62.5	7
37.7	7



Theoretical powder diffractogram of RbFeO2 for Cu Ka, from a PBE+U-relaxed structure.

```
RbFeO2
1.0
5.9005 0.0000 0.0000
0.0000 5.9005 0.0000
0.0000 0.0000 8.2499
Rb Fe O
4 4 8
Direct
0.2228 0.2228 0.0000 Rb
0.2772 0.7228 0.2500 Rb
0.7228 0.2772 0.7500 Rb
0.7772 0.7772 0.5000 Rb
0.2109 0.2109 0.5000 Fe
0.2891 0.7109 0.7500 Fe
0.7109 0.2891 0.2500 Fe
0.7891 0.7891 0.0000 Fe
0.0925 0.7563 0.9278 O
0.2437 0.9075 0.5722 O
0.2563 0.4075 0.6778 O
0.4075 0.2563 0.3222 O
0.5925 0.7437 0.8222 O
0.7437 0.5925 0.1778 O
0.7563 0.0925 0.0722 O
0.9075 0.2437 0.4278 O
```

Most intense lines, 2θ from 10° to 80°, in order of falling intensity:
Position (°2θ)	Rel. int.
30.5	100
30.3	64
53.9	33
54.3	19
43.4	14
26.4	13
63.4	11
72.4	11
43.9	10
51.5	9
60.9	9
71.6	9